Structure and calculated powder X-ray diffraction pattern of KV4O8 (a cell relaxed with PBE+U; Cu Kα).
Lines closer than 0.1° are merged.

Largest 6 diffraction maxima, in order of rising 2θ, 2θ from 10° to 90°:
d [Å]  Rel. int.
5.115  35
3.235  100
2.463  61
2.219  39
1.892  37
1.593  41

Structural model:
Cell: 10.2300 10.2300 2.9235 Å, 90.00 90.00 90.00°
Space group I4/m (No. 87)
Asymmetric unit:
K1 0.0000 0.0000 0.0000 x2
V1 0.1491 0.6675 0.0000 x8
O1 0.0395 0.3346 0.0000 x8
O2 0.1547 0.7996 0.5000 x8